1.
Starting from a crystal structure in Alexandria, relaxed with GGA-PBE, the powder XRD pattern of SmDy4Tc was simulated for Cu Kα (weighted mean of Kα1 and Kα2).
Neutral-atom scattering factors, no anomalous dispersion.

```
data_SmDy4Tc
_chemical_formula_sum 'Sm4 Dy16 Tc4'
_space_group_name_H-M_alt 'P n m a'
_space_group_IT_number 62
_cell_length_a 8.8359
_cell_length_b 3.7444
_cell_length_c 20.5435
_cell_angle_alpha 90.00
_cell_angle_beta 90.00
_cell_angle_gamma 90.00
loop_
_space_group_symop_operation_xyz
'x,y,z'
'-x,-y,-z'
'-x+1/2,-y,z+1/2'
'x+1/2,y,-z+1/2'
'x+1/2,-y+1/2,-z+1/2'
'-x+1/2,y+1/2,z+1/2'
'-x,y+1/2,-z'
'x,-y+1/2,z'
loop_
_atom_site_label
_atom_site_type_symbol
_atom_site_fract_x
_atom_site_fract_y
_atom_site_fract_z
Sm1 Sm 0.2245 0.2500 0.1878
Dy1 Dy 0.0098 0.7500 0.5665
Dy2 Dy 0.0359 0.7500 0.2929
Dy3 Dy 0.1328 0.7500 0.0438
Dy4 Dy 0.1507 0.7500 0.8589
Tc1 Tc 0.2385 0.7500 0.4552
```

Peak list (10 most intense, 10 to 90 degrees two-theta, sorted by position)
(2 0 5), 29.7 deg, I = 19
(3 0 1), 30.7 deg, I = 32
(1 1 4), 31.3 deg, I = 100
(2 1 1), 31.6 deg, I = 17
(1 0 7), 32.1 deg, I = 22
(0 1 5), 32.3 deg, I = 23
(2 1 3), 34.0 deg, I = 52
(3 0 4), 35.1 deg, I = 27
(2 1 5), 38.4 deg, I = 22
(0 2 0), 48.6 deg, I = 25

2.
Starting from a crystal structure in Alexandria, relaxed with GGA-PBE, the powder XRD pattern of SmDy2Tc9 was simulated for Cu Kα (weighted mean of Kα1 and Kα2).
Neutral-atom scattering factors, no anomalous dispersion.

```
data_SmDy2Tc9
_chemical_formula_sum 'Sm3 Dy6 Tc27'
_space_group_name_H-M_alt 'R -3 m'
_space_group_IT_number 166
_space_group_name_Hall '-R 3 2"'
_cell_length_a 5.3773
_cell_length_b 5.3773
_cell_length_c 26.1477
_cell_angle_alpha 90.00
_cell_angle_beta 90.00
_cell_angle_gamma 120.00
loop_
_atom_site_label
_atom_site_type_symbol
_atom_site_fract_x
_atom_site_fract_y
_atom_site_fract_z
Sm1 Sm 0.0000 0.0000 0.0000
Dy1 Dy 0.0000 0.0000 0.1436
Tc1 Tc 0.0000 0.0000 0.3386
Tc2 Tc 0.0000 0.0000 0.5000
Tc3 Tc 0.0106 0.5053 0.9164
```

Peak list (10 most intense, 10 to 90 degrees two-theta, sorted by position)
(1 0 7), 30.7 deg, I = 20
(1 1 0), 33.3 deg, I = 32
(0 1 8), 33.5 deg, I = 25
(0 2 1), 38.8 deg, I = 28
(1 1 6), 39.4 deg, I = 100
(0 0 12), 41.4 deg, I = 17
(2 0 5), 42.5 deg, I = 18
(0 3 6), 63.6 deg, I = 27
(2 2 0), 70.0 deg, I = 21
(2 2 12), 84.7 deg, I = 12

3.
Starting from a crystal structure in Alexandria, relaxed with GGA-PBE, the powder XRD pattern of SmDy4Te5 was simulated for Cu Kα (weighted mean of Kα1 and Kα2).
Neutral-atom scattering factors, no anomalous dispersion.

```
data_SmDy4Te5
_chemical_formula_sum 'Sm2 Dy8 Te10'
_space_group_name_H-M_alt 'C 1 2/m 1'
_space_group_IT_number 12
_cell_length_a 14.5210
_cell_length_b 4.3706
_cell_length_c 10.6998
_cell_angle_alpha 90.00
_cell_angle_beta 119.58
_cell_angle_gamma 90.00
loop_
_space_group_symop_operation_xyz
'x,y,z'
'-x,-y,-z'
'-x,y,-z'
'x,-y,z'
'x+1/2,y+1/2,z'
'-x+1/2,-y+1/2,-z'
'-x+1/2,y+1/2,-z'
'x+1/2,-y+1/2,z'
loop_
_atom_site_label
_atom_site_type_symbol
_atom_site_fract_x
_atom_site_fract_y
_atom_site_fract_z
Sm1 Sm 0.0000 0.0000 0.0000
Dy1 Dy 0.0987 0.5000 0.3959
Dy2 Dy 0.2034 0.0000 0.7998
Te1 Te 0.0000 0.0000 0.5000
Te2 Te 0.1035 0.5000 0.8974
Te3 Te 0.2024 0.0000 0.3053
```

Peak list (10 most intense, 10 to 90 degrees two-theta, sorted by position)
(2 0 2), 28.9 deg, I = 100
(0 2 0), 41.3 deg, I = 76
(8 0 -2), 51.1 deg, I = 7
(2 2 2), 51.2 deg, I = 20
(4 0 4), 59.8 deg, I = 13
(3 3 -2), 67.8 deg, I = 23
(1 1 6), 67.9 deg, I = 11
(11 1 -4), 75.2 deg, I = 4
(5 3 0), 75.3 deg, I = 11
(1 3 -4), 75.4 deg, I = 11

4.
Starting from a crystal structure in Alexandria, relaxed with GGA-PBE, the powder XRD pattern of SmDyTe was simulated for Cu Kα (weighted mean of Kα1 and Kα2).
Neutral-atom scattering factors, no anomalous dispersion.

```
data_SmDyTe
_chemical_formula_sum 'Sm4 Dy4 Te4'
_space_group_name_H-M_alt 'C m c m'
_space_group_IT_number 63
_space_group_name_Hall '-C 2c 2'
_cell_length_a 4.0782
_cell_length_b 15.5828
_cell_length_c 6.1312
_cell_angle_alpha 90.00
_cell_angle_beta 90.00
_cell_angle_gamma 90.00
loop_
_atom_site_label
_atom_site_type_symbol
_atom_site_fract_x
_atom_site_fract_y
_atom_site_fract_z
Sm1 Sm 0.0000 0.1406 0.2500
Dy1 Dy 0.0000 0.4450 0.2500
Te1 Te 0.0000 0.2015 0.7500
```

Peak list (10 most intense, 10 to 90 degrees two-theta, sorted by position)
(1 3 0), 27.8 deg, I = 83
(0 0 2), 29.1 deg, I = 71
(1 3 1), 31.5 deg, I = 100
(0 6 1), 37.6 deg, I = 57
(1 3 2), 40.7 deg, I = 60
(2 0 0), 44.4 deg, I = 23
(1 3 3), 53.1 deg, I = 23
(2 0 2), 54.0 deg, I = 25
(0 6 3), 57.4 deg, I = 17
(2 6 1), 59.6 deg, I = 30

5.
Starting from a crystal structure in Alexandria, relaxed with GGA-PBE, the powder XRD pattern of SmDyTe was simulated for Cu Kα (weighted mean of Kα1 and Kα2).
Neutral-atom scattering factors, no anomalous dispersion.

```
data_SmDyTe
_chemical_formula_sum 'Sm4 Dy4 Te4'
_space_group_name_H-M_alt 'P 42/m'
_space_group_IT_number 84
_cell_length_a 9.7324
_cell_length_b 9.7324
_cell_length_c 4.2520
_cell_angle_alpha 90.00
_cell_angle_beta 90.00
_cell_angle_gamma 90.00
loop_
_space_group_symop_operation_xyz
'x,y,z'
'-x,-y,-z'
'-y,x,z+1/2'
'y,-x,-z+1/2'
'-x,-y,z'
'x,y,-z'
'y,-x,z+1/2'
'-y,x,-z+1/2'
loop_
_atom_site_label
_atom_site_type_symbol
_atom_site_fract_x
_atom_site_fract_y
_atom_site_fract_z
Sm1 Sm 0.0908 0.3195 0.0000
Dy1 Dy 0.3616 0.6301 0.0000
Te1 Te 0.1394 0.6123 0.5000
```

Peak list (10 most intense, 10 to 90 degrees two-theta, sorted by position)
(3 0 0), 27.5 deg, I = 17
(1 3 0), 29.0 deg, I = 13
(1 2 1), 29.4 deg, I = 41
(2 2 1), 33.5 deg, I = 100
(3 1 1), 36.0 deg, I = 11
(4 0 0), 36.9 deg, I = 29
(0 0 2), 42.5 deg, I = 17
(4 0 2), 57.6 deg, I = 17
(2 6 1), 64.4 deg, I = 12
(2 2 3), 72.1 deg, I = 12

6.
Starting from a crystal structure in Alexandria, relaxed with GGA-PBE, the powder XRD pattern of Sm3Dy2Te5 was simulated for Cu Kα (weighted mean of Kα1 and Kα2).
Neutral-atom scattering factors, no anomalous dispersion.

```
data_Sm3Dy2Te5
_chemical_formula_sum 'Sm6 Dy4 Te10'
_space_group_name_H-M_alt 'C 1 2/m 1'
_space_group_IT_number 12
_cell_length_a 16.7015
_cell_length_b 4.3680
_cell_length_c 11.1634
_cell_angle_alpha 90.00
_cell_angle_beta 124.65
_cell_angle_gamma 90.00
loop_
_space_group_symop_operation_xyz
'x,y,z'
'-x,-y,-z'
'-x,y,-z'
'x,-y,z'
'x+1/2,y+1/2,z'
'-x+1/2,-y+1/2,-z'
'-x+1/2,y+1/2,-z'
'x+1/2,-y+1/2,z'
loop_
_atom_site_label
_atom_site_type_symbol
_atom_site_fract_x
_atom_site_fract_y
_atom_site_fract_z
Sm1 Sm 0.0000 0.0000 0.0000
Sm2 Sm 0.2290 0.0000 0.6846
Dy1 Dy 0.0246 0.5000 0.3289
Te1 Te 0.0000 0.0000 0.5000
Te2 Te 0.1342 0.5000 0.9811
Te3 Te 0.1511 0.0000 0.3356
```

Peak list (10 most intense, 10 to 90 degrees two-theta, sorted by position)
(4 0 -2), 21.8 deg, I = 25
(3 1 -1), 26.0 deg, I = 100
(3 1 -2), 27.3 deg, I = 73
(0 0 3), 29.2 deg, I = 75
(5 1 -2), 33.8 deg, I = 69
(3 1 -4), 38.4 deg, I = 56
(3 1 2), 40.5 deg, I = 51
(0 2 0), 41.3 deg, I = 46
(5 1 1), 44.6 deg, I = 29
(0 2 3), 51.4 deg, I = 31

7.
Starting from a crystal structure in Alexandria, relaxed with GGA-PBE, the powder XRD pattern of Sm2Dy5Th2 was simulated for Cu Kα (weighted mean of Kα1 and Kα2).
Neutral-atom scattering factors, no anomalous dispersion.

```
data_Sm2Dy5Th2
_chemical_formula_sum 'Sm4 Dy10 Th4'
_space_group_name_H-M_alt 'C 1 2/m 1'
_space_group_IT_number 12
_cell_length_a 22.5503
_cell_length_b 3.4790
_cell_length_c 8.0440
_cell_angle_alpha 90.00
_cell_angle_beta 98.91
_cell_angle_gamma 90.00
loop_
_space_group_symop_operation_xyz
'x,y,z'
'-x,-y,-z'
'-x,y,-z'
'x,-y,z'
'x+1/2,y+1/2,z'
'-x+1/2,-y+1/2,-z'
'-x+1/2,y+1/2,-z'
'x+1/2,-y+1/2,z'
loop_
_atom_site_label
_atom_site_type_symbol
_atom_site_fract_x
_atom_site_fract_y
_atom_site_fract_z
Sm1 Sm 0.1753 0.0000 0.1507
Dy1 Dy 0.0000 0.0000 0.0000
Dy2 Dy 0.0906 0.0000 0.7292
Dy3 Dy 0.1924 0.5000 0.5459
Th1 Th 0.0527 0.5000 0.3536
```

Peak list (10 most intense, 10 to 90 degrees two-theta, sorted by position)
(0 0 1), 11.1 deg, I = 34
(6 0 -1), 24.9 deg, I = 45
(1 1 -1), 28.0 deg, I = 36
(4 0 2), 29.6 deg, I = 64
(3 1 -1), 29.8 deg, I = 60
(8 0 -1), 32.4 deg, I = 51
(2 0 -3), 33.5 deg, I = 42
(3 1 -2), 35.2 deg, I = 84
(5 1 1), 35.6 deg, I = 100
(9 1 3), 61.2 deg, I = 30

8.
Starting from a crystal structure in Alexandria, relaxed with GGA-PBE, the powder XRD pattern of Sm9Dy3Th2 was simulated for Cu Kα (weighted mean of Kα1 and Kα2).
Neutral-atom scattering factors, no anomalous dispersion.

```
data_Sm9Dy3Th2
_chemical_formula_sum 'Sm18 Dy6 Th4'
_space_group_name_H-M_alt 'C 1 m 1'
_space_group_IT_number 8
_cell_length_a 17.0986
_cell_length_b 10.4888
_cell_length_c 5.6966
_cell_angle_alpha 90.00
_cell_angle_beta 109.43
_cell_angle_gamma 90.00
loop_
_space_group_symop_operation_xyz
'x,y,z'
'x,-y,z'
'x+1/2,y+1/2,z'
'x+1/2,-y+1/2,z'
loop_
_atom_site_label
_atom_site_type_symbol
_atom_site_fract_x
_atom_site_fract_y
_atom_site_fract_z
Sm1 Sm 0.0000 0.0000 0.0000
Sm2 Sm 0.0137 0.3324 0.0114
Sm3 Sm 0.1137 0.1701 0.6120
Sm4 Sm 0.2149 0.3345 0.2129
Sm5 Sm 0.3197 0.3303 0.8175
Dy1 Dy 0.1121 0.5000 0.6099
Dy2 Dy 0.2089 0.0000 0.2066
Dy3 Dy 0.3205 0.0000 0.8181
Th1 Th 0.4055 0.1666 0.4028
```

Peak list (10 most intense, 10 to 90 degrees two-theta, sorted by position)
(3 3 0), 30.5 deg, I = 45
(2 0 -2), 31.4 deg, I = 54
(4 0 1), 31.9 deg, I = 100
(1 3 1), 32.0 deg, I = 89
(5 3 -2), 44.3 deg, I = 33
(7 3 0), 47.3 deg, I = 16
(2 0 3), 56.2 deg, I = 29
(5 3 2), 57.8 deg, I = 20
(2 6 -2), 62.3 deg, I = 15
(4 6 1), 62.6 deg, I = 29

9.
Starting from a crystal structure in Alexandria, relaxed with GGA-PBE, the powder XRD pattern of Sm3Dy7Th2 was simulated for Cu Kα (weighted mean of Kα1 and Kα2).
Neutral-atom scattering factors, no anomalous dispersion.

```
data_Sm3Dy7Th2
_chemical_formula_sum 'Sm3 Dy7 Th2'
_space_group_name_H-M_alt 'P -1'
_space_group_IT_number 2
_cell_length_a 3.5809
_cell_length_b 6.1819
_cell_length_c 17.7437
_cell_angle_alpha 80.16
_cell_angle_beta 84.24
_cell_angle_gamma 90.00
loop_
_space_group_symop_operation_xyz
'x,y,z'
'-x,-y,-z'
loop_
_atom_site_label
_atom_site_type_symbol
_atom_site_fract_x
_atom_site_fract_y
_atom_site_fract_z
Sm1 Sm 0.0000 0.0000 0.0000
Sm2 Sm 0.3339 0.6650 0.3337
Dy1 Dy 0.0840 0.4208 0.8330
Dy2 Dy 0.2509 0.2425 0.4976
Dy3 Dy 0.4153 0.0864 0.1685
Dy4 Dy 0.5000 0.5000 0.0000
Th1 Th 0.1660 0.8318 0.6675
```

Peak list (10 most intense, 10 to 90 degrees two-theta, sorted by position)
(1 1 3), 30.7 deg, I = 100
(0 0 6), 30.8 deg, I = 33
(1 1 -3), 35.5 deg, I = 45
(0 2 5), 35.7 deg, I = 22
(1 3 2), 51.1 deg, I = 16
(0 2 -7), 51.3 deg, I = 16
(2 2 0), 60.7 deg, I = 15
(2 0 7), 60.9 deg, I = 19
(1 1 -9), 61.0 deg, I = 19
(1 3 -10), 86.3 deg, I = 9

10.
Starting from a crystal structure in Alexandria, relaxed with GGA-PBE, the powder XRD pattern of Sm4Dy3Th2 was simulated for Cu Kα (weighted mean of Kα1 and Kα2).
Neutral-atom scattering factors, no anomalous dispersion.

```
data_Sm4Dy3Th2
_chemical_formula_sum 'Sm4 Dy3 Th2'
_space_group_name_H-M_alt 'P 3 m 1'
_space_group_IT_number 156
_cell_length_a 3.5773
_cell_length_b 3.5773
_cell_length_c 26.8449
_cell_angle_alpha 90.00
_cell_angle_beta 90.00
_cell_angle_gamma 120.00
loop_
_space_group_symop_operation_xyz
'x,y,z'
'-y,x-y,z'
'-x+y,-x,z'
'-y,-x,z'
'-x+y,y,z'
'x,x-y,z'
loop_
_atom_site_label
_atom_site_type_symbol
_atom_site_fract_x
_atom_site_fract_y
_atom_site_fract_z
Sm1 Sm 0.0000 0.0000 0.0000
Sm2 Sm 0.0000 0.0000 0.2153
Sm3 Sm 0.3333 0.6667 0.3268
Sm4 Sm 0.3333 0.6667 0.5443
Dy1 Dy 0.0000 0.0000 0.4348
Dy2 Dy 0.3333 0.6667 0.1062
Dy3 Dy 0.3333 0.6667 0.7638
Th1 Th 0.0000 0.0000 0.6545
Th2 Th 0.0000 0.0000 0.8722
```

Peak list (10 most intense, 10 to 90 degrees two-theta, sorted by position)
(1 0 0), 28.8 deg, I = 50
(0 0 9), 30.0 deg, I = 51
(1 0 4), 31.8 deg, I = 63
(0 1 5), 33.4 deg, I = 100
(0 1 9), 42.1 deg, I = 33
(1 1 0), 51.1 deg, I = 38
(0 1 14), 56.4 deg, I = 33
(1 1 9), 60.3 deg, I = 42
(2 0 5), 62.4 deg, I = 18
(1 2 5), 84.7 deg, I = 14

11.
Starting from a crystal structure in Alexandria, relaxed with GGA-PBE, the powder XRD pattern of Sm4Dy5Th4 was simulated for Cu Kα (weighted mean of Kα1 and Kα2).
Neutral-atom scattering factors, no anomalous dispersion.

```
data_Sm4Dy5Th4
_chemical_formula_sum 'Sm8 Dy10 Th8'
_space_group_name_H-M_alt 'I 4/m'
_space_group_IT_number 87
_space_group_name_Hall '-I 4'
_cell_length_a 12.9277
_cell_length_b 12.9277
_cell_length_c 5.0621
_cell_angle_alpha 90.00
_cell_angle_beta 90.00
_cell_angle_gamma 90.00
loop_
_atom_site_label
_atom_site_type_symbol
_atom_site_fract_x
_atom_site_fract_y
_atom_site_fract_z
Sm1 Sm 0.1523 0.7671 0.0000
Dy1 Dy 0.0000 0.0000 0.0000
Dy2 Dy 0.0381 0.1950 0.5000
Th1 Th 0.0755 0.3879 0.0000
```

Peak list (10 most intense, 10 to 90 degrees two-theta, sorted by position)
(3 2 1), 30.6 deg, I = 100
(0 0 2), 35.4 deg, I = 51
(1 5 2), 51.0 deg, I = 36
(3 2 3), 60.6 deg, I = 43
(6 4 2), 63.6 deg, I = 12
(2 10 0), 74.9 deg, I = 4
(0 0 4), 75.1 deg, I = 2
(8 1 3), 83.1 deg, I = 18
(2 10 2), 85.7 deg, I = 11
(1 5 4), 85.8 deg, I = 6

12.
Starting from a crystal structure in Alexandria, relaxed with GGA-PBE, the powder XRD pattern of Sm2Dy12Th5 was simulated for Cu Kα (weighted mean of Kα1 and Kα2).
Neutral-atom scattering factors, no anomalous dispersion.

```
data_Sm2Dy12Th5
_chemical_formula_sum 'Sm4 Dy24 Th10'
_space_group_name_H-M_alt 'C 1 2/m 1'
_space_group_IT_number 12
_cell_length_a 18.6176
_cell_length_b 7.0162
_cell_length_c 10.2851
_cell_angle_alpha 90.00
_cell_angle_beta 112.80
_cell_angle_gamma 90.00
loop_
_space_group_symop_operation_xyz
'x,y,z'
'-x,-y,-z'
'-x,y,-z'
'x,-y,z'
'x+1/2,y+1/2,z'
'-x+1/2,-y+1/2,-z'
'-x+1/2,y+1/2,-z'
'x+1/2,-y+1/2,z'
loop_
_atom_site_label
_atom_site_type_symbol
_atom_site_fract_x
_atom_site_fract_y
_atom_site_fract_z
Sm1 Sm 0.0000 0.2174 0.0000
Dy1 Dy 0.0028 0.0000 0.3286
Dy2 Dy 0.0321 0.5000 0.2423
Dy3 Dy 0.1573 0.2538 0.8637
Dy4 Dy 0.1675 0.2495 0.5210
Th1 Th 0.0000 0.5000 0.5000
Th2 Th 0.1789 0.0000 0.2103
Th3 Th 0.1873 0.5000 0.1774
```

Peak list (10 most intense, 10 to 90 degrees two-theta, sorted by position)
(4 0 -3), 27.8 deg, I = 36
(0 0 3), 28.2 deg, I = 27
(2 2 1), 30.4 deg, I = 100
(6 0 0), 31.3 deg, I = 76
(0 2 2), 31.7 deg, I = 52
(4 2 -1), 32.0 deg, I = 48
(5 1 -3), 32.8 deg, I = 24
(2 0 3), 33.8 deg, I = 55
(0 4 0), 52.1 deg, I = 25
(6 4 0), 62.1 deg, I = 23